GaAu7: computed X-ray diffraction stick pattern (Cu Kα, 1.54184 Å), based on a crystal structure in OQMD, relaxed with GGA-PBE.
Lines closer than 0.1° are merged.

Structural model:
```
16
Lattice="2.8969 0.0000 0.0000 0.0000 4.1441 0.0000 0.0000 0.0000 38.4685" Properties=species:S:1:pos:R:3 pbc="T T T"
Ga 0.7242 1.0360 8.1405
Ga 2.1727 3.1081 30.3280
Au 0.7242 1.0360 10.9985
Au 0.7242 1.0360 13.9987
Au 0.7242 1.0360 16.9912
Au 0.7242 1.0360 19.9776
Au 0.7242 1.0360 22.9667
Au 0.7242 1.0360 25.9729
Au 0.7242 1.0360 29.1268
Au 2.1727 3.1081 9.3417
Au 2.1727 3.1081 12.4956
Au 2.1727 3.1081 15.5018
Au 2.1727 3.1081 18.4909
Au 2.1727 3.1081 21.4774
Au 2.1727 3.1081 24.4698
Au 2.1727 3.1081 27.4701
```

Most intense lines, 5 to 70 degrees two-theta, by angle:
(0 0 3), 6.9 deg, rel. 24
(0 1 12), 35.4 deg, rel. 35
(0 1 13), 37.3 deg, rel. 62
(1 1 0), 37.9 deg, rel. 100
(0 2 0), 43.7 deg, rel. 74
(1 2 13), 63.5 deg, rel. 27